(1)
Simulated XRD peak list of HoEr2Cd4In2 for CuKα, from a PBE-relaxed structure.
Kinematic intensities with the Lorentz-polarization factor, no thermal factor.

Cell and atoms:
Cell: 4.5783 7.4604 7.4604 Å, 120.07 90.00 90.00°
Positions (direct):
Ho 0.0000 0.0000 0.0000
Er 0.0000 0.4275 0.8548
Er 0.0000 0.8548 0.4275
Cd 0.0000 0.4279 0.4279
Cd 0.5000 0.1841 0.4275
Cd 0.5000 0.4275 0.1841
Cd 0.5000 0.6708 0.6708
In 0.5000 0.0943 0.7605
In 0.5000 0.7605 0.0943

Main lines, in order of falling intensity (5° ≤ 2θ ≤ 70°):
- 2θ = 33.97°, rel. 100
- 2θ = 30.93°, rel. 73
- 2θ = 36.82°, rel. 40
- 2θ = 55.01°, rel. 37
- 2θ = 39.36°, rel. 31
- 2θ = 66.30°, rel. 28
- 2θ = 41.94°, rel. 22
- 2θ = 66.19°, rel. 14

=====

(2)
Simulated XRD peak list of Sm4C2I2BrCl2 for CuKα, from a PBE-relaxed structure.
Kinematic intensities with the Lorentz-polarization factor, no thermal factor.

Cell and atoms:
Cell: 9.7901 9.7901 8.2167 Å, 102.44 102.44 23.11°
Positions (direct):
Sm 0.0027 0.0027 0.3022
Sm 0.3437 0.3437 0.4163
Sm 0.6563 0.6563 0.5837
Sm 0.9973 0.9973 0.6978
C 0.4624 0.4624 0.4803
C 0.5376 0.5376 0.5197
I 0.1637 0.1637 0.8773
I 0.8363 0.8363 0.1227
Br 0.5000 0.5000 0.0000
Cl 0.1701 0.1701 0.3446
Cl 0.8299 0.8299 0.6554

Main lines, in order of falling intensity (5° ≤ 2θ ≤ 70°):
- 2θ = 31.53°, rel. 100
- 2θ = 28.62°, rel. 73
- 2θ = 30.32°, rel. 44
- 2θ = 27.85°, rel. 44
- 2θ = 43.19°, rel. 38
- 2θ = 43.01°, rel. 38
- 2θ = 12.87°, rel. 26
- 2θ = 36.97°, rel. 25